Y2O3: simulated powder diffractogram (Cu Kα X-rays), based on DFT lattice parameters and positions (PBE).

Top 12 peaks for 10 to 90 degrees two-theta, low angle first:
hkl 0 2 0, 29.76 deg, intensity 25
hkl 1 1 4, 30.15 deg, intensity 100
hkl 2 0 0, 30.72 deg, intensity 23
hkl 0 0 8, 43.04 deg, intensity 12
hkl 2 2 0, 43.30 deg, intensity 23
hkl 1 3 1, 48.43 deg, intensity 11
hkl 1 3 4, 53.06 deg, intensity 19
hkl 0 2 8, 53.20 deg, intensity 12
hkl 2 0 8, 53.80 deg, intensity 12
hkl 3 1 4, 54.26 deg, intensity 27
hkl 2 2 8, 62.70 deg, intensity 10
hkl 1 1 12, 70.93 deg, intensity 8

Structure:
```
40
Lattice="5.8214 0.0000 0.0000 0.0000 6.0042 0.0000 0.0000 0.0000 16.8141" Properties=species:S:1:pos:R:3 pbc="T T T"
Y 0.0135 1.2431 1.1859
Y 0.0135 1.7590 9.5929
Y 0.0282 1.4443 13.7487
Y 0.0282 1.5578 5.3416
Y 2.8825 4.4465 13.7487
Y 2.8825 4.5599 5.3416
Y 2.8972 4.2452 1.1859
Y 2.8972 4.7611 9.5929
Y 2.9243 1.2431 7.2212
Y 2.9243 1.7590 15.6282
Y 2.9390 1.4443 11.4725
Y 2.9390 1.5578 3.0654
Y 5.7932 4.4465 11.4725
Y 5.7932 4.5599 3.0654
Y 5.8079 4.2452 7.2212
Y 5.8079 4.7611 15.6282
O 0.8290 3.9525 9.2918
O 0.8290 5.0538 0.8848
O 0.8426 0.7449 3.3732
O 0.8426 2.2573 11.7803
O 1.2066 3.1197 14.7109
O 1.2066 5.8866 6.3038
O 1.7042 0.1176 14.7109
O 1.7042 2.8845 6.3038
O 2.0681 3.7470 3.3732
O 2.0681 5.2594 11.7803
O 2.0817 0.9504 9.2918
O 2.0817 2.0517 0.8848
O 3.7397 3.9525 15.9293
O 3.7397 5.0538 7.5223
O 3.7533 0.7449 5.0338
O 3.7533 2.2573 13.4408
O 4.1173 3.1197 10.5102
O 4.1173 5.8866 2.1032
O 4.6149 0.1176 10.5102
O 4.6149 2.8845 2.1032
O 4.9789 3.7470 5.0338
O 4.9789 5.2594 13.4408
O 4.9924 0.9504 15.9293
O 4.9924 2.0517 7.5223
```